AcCeMoO6: theoretical X-ray powder pattern (CuKα), based on the GGA+U geometry in Alexandria.

Main lines, low angle first (2θ = 10–90°):
index, 2θ (°), I (rel.)
1 0 2, 24.95, 100.0
1 1 0, 31.33, 40.4
0 0 4, 34.79, 8.3
2 0 2, 40.46, 27.1
1 1 4, 47.51, 37.5
2 1 2, 52.05, 27.0
3 0 0, 55.77, 13.1
1 0 6, 56.69, 10.1
3 0 4, 67.43, 8.8
4 -1 2, 71.13, 11.0
3 -1 6, 75.07, 9.4
4 -2 4, 76.24, 9.3

Structure:
```
data_AcCeMoO6
_chemical_formula_sum 'Ac2 Ce2 Mo2 O12'
_symmetry_space_group_name_H-M 'P -3 1 c'
_symmetry_Int_Tables_number 163
_symmetry_space_group_name_Hall '-P 3 2c'
_cell_length_a 5.7097
_cell_length_b 5.7097
_cell_length_c 10.3153
_cell_angle_alpha 90.00
_cell_angle_beta 90.00
_cell_angle_gamma 120.00
loop_
_atom_site_label
_atom_site_fract_x
_atom_site_fract_y
_atom_site_fract_z
Ac1 0.0000 0.0000 0.0000
Ce1 0.3333 0.6667 0.2500
Mo1 0.3333 0.6667 0.7500
O1 0.0317 0.3781 0.6439
```